Diffraction record for Dy3Fe2CoNi6. The powder X-ray diffraction pattern is simulated, not measured: it uses a PBE-relaxed structure and a wavelength of 1.5418 Å.
Peak positions follow from Bragg's law for the DFT cell and can differ from measured ones.

Main lines, sorted by position (10 to 90 degrees two-theta):
d/Å  2θ/deg  I_rel
2.703  33.15  51
2.495  36.00  50
2.481  36.20  38
2.152  41.98  39
2.123  42.58  100
1.357  69.26  31

Crystal structure
abc: 8.5797 8.5797 8.5797
angles: 33.81 33.81 33.81
Sites, in units of the cell vectors:
Dy: 0.0000 0.0000 0.0000
Dy: 0.1398 0.1398 0.1398
Dy: 0.8602 0.8602 0.8602
Fe: 0.3325 0.3325 0.3325
Fe: 0.6675 0.6675 0.6675
Co: 0.5000 0.5000 0.5000
Ni: 0.0836 0.5803 0.5803
Ni: 0.4197 0.4197 0.9164
Ni: 0.4197 0.9164 0.4197
Ni: 0.5803 0.0836 0.5803
Ni: 0.5803 0.5803 0.0836
Ni: 0.9164 0.4197 0.4197